# LiSb2
Theoretical powder diffraction line list, copper Kα. Input: a GGA-PBE-relaxed structure.
Peak positions follow from Bragg's law for the DFT cell and can differ from measured ones.

Main lines, by angle (10 to 80 degrees two-theta):
- d = 4.629 Å, 2θ 19.17, rel. 88.9
- d = 3.164 Å, 2θ 28.21, rel. 48.3
- d = 2.673 Å, 2θ 33.53, rel. 100.0
- d = 2.612 Å, 2θ 34.33, rel. 48.9
- d = 2.042 Å, 2θ 44.37, rel. 83.5
- d = 1.868 Å, 2θ 48.75, rel. 17.9
- d = 1.543 Å, 2θ 59.95, rel. 18.3
- d = 1.531 Å, 2θ 60.47, rel. 18.5
- d = 1.387 Å, 2θ 67.54, rel. 23.3
- d = 1.361 Å, 2θ 68.99, rel. 23.8

Cell and atoms:
```
LiSb2
1.0
5.3451 0.0000 0.0000
-2.6726 4.6290 0.0000
0.0000 0.0000 3.1635
Li Sb
1 2
Cartesian
0.0000 0.0000 0.0000
0.0000 3.0860 1.5818
2.6726 1.5430 1.5818
```


# Ce3Co11B4
Theoretical powder diffraction line list, copper Kα. Input: a GGA-PBE-relaxed structure.
Peak positions follow from Bragg's law for the DFT cell and can differ from measured ones.

Main lines, by angle (10 to 80 degrees two-theta):
- d = 4.349 Å, 2θ 20.42, rel. 15.6
- d = 2.619 Å, 2θ 34.23, rel. 100.0
- d = 2.511 Å, 2θ 35.76, rel. 27.2
- d = 2.174 Å, 2θ 41.53, rel. 96.1
- d = 1.994 Å, 2θ 45.49, rel. 95.2
- d = 1.470 Å, 2θ 63.28, rel. 33.2
- d = 1.373 Å, 2θ 68.29, rel. 12.2
- d = 1.326 Å, 2θ 71.10, rel. 23.8
- d = 1.310 Å, 2θ 72.12, rel. 14.8
- d = 1.255 Å, 2θ 75.77, rel. 23.3

Cell and atoms:
```
Ce3Co11B4
1.0
5.0214 0.0000 0.0000
-2.5107 4.3487 0.0000
0.0000 0.0000 9.8438
Ce Co B
3 11 4
Cartesian
0.0000 0.0000 0.0000
0.0000 0.0000 3.3389
0.0000 0.0000 6.5049
-1.2554 2.1743 2.0140
-1.2554 2.1743 4.9219
-1.2554 2.1743 7.8299
0.0000 2.8991 0.0000
2.5107 0.0000 2.0140
2.5107 0.0000 4.9219
2.5107 0.0000 7.8299
1.2554 2.1743 2.0140
1.2554 2.1743 4.9219
1.2554 2.1743 7.8299
2.5107 1.4496 0.0000
0.0000 2.8991 3.4482
0.0000 2.8991 6.3956
2.5107 1.4496 3.4482
2.5107 1.4496 6.3956
```


# TbCe2Tc9
Theoretical powder diffraction line list, copper Kα. Input: a GGA-PBE-relaxed structure.
Peak positions follow from Bragg's law for the DFT cell and can differ from measured ones.

Main lines, by angle (10 to 80 degrees two-theta):
- d = 2.780 Å, 2θ 32.20, rel. 36.6
- d = 2.769 Å, 2θ 32.34, rel. 34.5
- d = 2.665 Å, 2θ 33.63, rel. 49.3
- d = 2.426 Å, 2θ 37.06, rel. 57.1
- d = 2.379 Å, 2θ 37.82, rel. 43.7
- d = 2.312 Å, 2θ 38.95, rel. 49.5
- d = 2.279 Å, 2θ 39.54, rel. 51.6
- d = 2.257 Å, 2θ 39.95, rel. 100.0
- d = 2.220 Å, 2θ 40.65, rel. 83.4
- d = 2.183 Å, 2θ 41.35, rel. 45.0

Cell and atoms:
```
TbCe2Tc9
1.0
5.1326 0.0000 0.0000
2.3485 4.8088 0.0000
2.2782 -1.1001 8.8796
Tb Ce Tc
1 2 9
Cartesian
0.0000 0.0000 0.0000
4.7903 3.5124 5.0394
4.9689 0.1962 3.8402
2.3133 1.8543 4.4398
3.5182 1.1804 6.6363
2.4466 1.7685 0.0951
3.7243 2.6054 2.1944
2.4803 0.1067 2.0942
7.2789 3.6020 6.7855
6.0349 1.1032 6.6853
7.3126 1.9402 8.7845
6.2410 2.5282 2.2434
```


# Tm4AlAg
Theoretical powder diffraction line list, copper Kα. Input: a GGA-PBE-relaxed structure.
Peak positions follow from Bragg's law for the DFT cell and can differ from measured ones.

Main lines, by angle (10 to 80 degrees two-theta):
- d = 3.393 Å, 2θ 26.27, rel. 37.2
- d = 2.953 Å, 2θ 30.27, rel. 29.6
- d = 2.842 Å, 2θ 31.47, rel. 59.2
- d = 2.707 Å, 2θ 33.09, rel. 100.0
- d = 2.639 Å, 2θ 33.97, rel. 87.6
- d = 2.580 Å, 2θ 34.78, rel. 41.9
- d = 2.531 Å, 2θ 35.46, rel. 52.4
- d = 2.435 Å, 2θ 36.92, rel. 65.3
- d = 1.760 Å, 2θ 51.96, rel. 22.8
- d = 1.739 Å, 2θ 52.64, rel. 32.3

Cell and atoms:
```
Tm4AlAg
1.0
12.0122 0.0000 0.0000
0.0000 3.5198 0.0000
-4.6575 0.0000 7.3005
Tm Al Ag
8 2 2
Cartesian
0.0000 0.0000 0.0000
-2.6404 1.7599 5.0907
1.0248 1.7599 2.8852
3.1798 0.0000 0.7121
6.0061 1.7599 0.0000
3.3657 0.0000 5.0907
7.0310 0.0000 2.8852
9.1859 1.7599 0.7121
-0.0198 0.0000 5.2496
5.9863 1.7599 5.2496
-1.5521 0.0000 2.8387
4.4540 1.7599 2.8387
```


# Pm5Hg7
Theoretical powder diffraction line list, copper Kα. Input: a GGA-PBE-relaxed structure.
Peak positions follow from Bragg's law for the DFT cell and can differ from measured ones.

Main lines, by angle (10 to 80 degrees two-theta):
- d = 3.141 Å, 2θ 28.41, rel. 16.8
- d = 2.987 Å, 2θ 29.92, rel. 35.9
- d = 2.704 Å, 2θ 33.13, rel. 34.0
- d = 2.581 Å, 2θ 34.76, rel. 100.0
- d = 1.953 Å, 2θ 46.50, rel. 10.9
- d = 1.867 Å, 2θ 48.77, rel. 11.7
- d = 1.557 Å, 2θ 59.34, rel. 10.6
- d = 1.512 Å, 2θ 61.31, rel. 7.9
- d = 1.490 Å, 2θ 62.30, rel. 21.7
- d = 1.291 Å, 2θ 73.34, rel. 7.8

Cell and atoms:
```
Pm5Hg7
1.0
4.4722 -2.5807 0.0000
4.4722 2.5807 0.0000
-3.0202 0.0000 14.7158
Pm Hg
5 7
Cartesian
0.0000 0.0000 0.0000
-0.0187 0.0000 6.2164
2.9716 0.0000 2.9403
2.9526 0.0000 11.7755
5.9429 0.0000 8.4994
-0.0093 0.0000 3.1410
-0.0207 0.0000 9.8445
-0.0396 0.0000 13.4900
2.9621 0.0000 7.3579
5.9638 0.0000 1.2258
5.9449 0.0000 4.8713
5.9335 0.0000 11.5749
```


# NaAl6Sb7Te8Cl24
Theoretical powder diffraction line list, copper Kα. Input: a GGA-PBE-relaxed structure.
Peak positions follow from Bragg's law for the DFT cell and can differ from measured ones.

Main lines, by angle (10 to 80 degrees two-theta):
- d = 7.858 Å, 2θ 11.26, rel. 58.4
- d = 6.952 Å, 2θ 12.73, rel. 34.5
- d = 4.012 Å, 2θ 22.16, rel. 34.1
- d = 3.608 Å, 2θ 24.67, rel. 39.1
- d = 3.074 Å, 2θ 29.05, rel. 51.6
- d = 3.017 Å, 2θ 29.61, rel. 74.2
- d = 2.943 Å, 2θ 30.38, rel. 100.0
- d = 2.913 Å, 2θ 30.69, rel. 61.1
- d = 2.846 Å, 2θ 31.43, rel. 29.7
- d = 2.369 Å, 2θ 37.98, rel. 29.9

Cell and atoms:
```
NaAl6Sb7Te8Cl24
1.0
11.8532 0.0000 0.0000
-2.3494 12.5828 0.0000
-4.3548 -6.2747 10.5862
Na Al Sb Te Cl
1 6 7 8 24
Cartesian
0.0000 0.0000 0.0000
-2.7748 6.7221 4.5882
-4.5345 3.3007 9.2249
2.8069 -0.2528 3.4695
2.0055 4.7639 8.4321
7.7499 -2.1248 7.0965
9.6923 1.4484 2.4570
0.1817 -2.3863 7.2694
1.8239 8.2036 1.7060
1.7441 4.4473 3.2664
4.6404 5.4764 0.4799
3.2454 0.1848 8.3450
3.1154 -3.5545 10.0132
4.8803 6.9741 4.2804
1.5615 5.5363 0.5890
0.2180 -3.6393 9.9061
0.3836 0.3663 8.1945
1.9696 7.0543 4.4807
3.0796 -2.4977 7.2268
4.6241 4.2309 3.2887
4.7429 8.3002 1.7216
7.7034 5.4075 0.4871
-3.0270 -3.8059 7.9227
-2.6833 -0.5927 6.6164
-1.1334 8.9646 0.4836
-4.5314 5.4575 9.1324
-1.3421 2.1451 4.2795
-1.3060 6.1620 3.0938
-1.6738 7.2253 6.3999
-2.4179 2.6848 9.4542
1.3187 -1.6760 4.0908
1.9670 1.1481 2.0180
1.3498 3.9130 6.5640
4.4725 -1.2613 2.5310
3.5086 0.9131 5.1520
0.3769 5.7183 9.4680
2.8194 3.1492 9.6475
6.6470 -2.7081 5.3127
3.5739 6.2311 8.1184
7.5384 1.8608 2.3211
6.2915 -1.4222 8.5361
6.4309 2.4012 7.5251
10.0343 -0.6388 2.0449
7.7103 5.1116 4.9579
10.5832 2.5021 0.7481
7.9268 8.4137 3.8956
```


# BaLaGe4
Theoretical powder diffraction line list, copper Kα. Input: a GGA-PBE-relaxed structure.
Peak positions follow from Bragg's law for the DFT cell and can differ from measured ones.

Main lines, by angle (10 to 80 degrees two-theta):
- d = 3.328 Å, 2θ 26.79, rel. 25.0
- d = 3.197 Å, 2θ 27.90, rel. 46.5
- d = 3.024 Å, 2θ 29.54, rel. 100.0
- d = 2.979 Å, 2θ 30.00, rel. 60.1
- d = 2.722 Å, 2θ 32.91, rel. 57.7
- d = 2.676 Å, 2θ 33.49, rel. 20.8
- d = 2.658 Å, 2θ 33.72, rel. 27.9
- d = 2.478 Å, 2θ 36.26, rel. 20.3
- d = 2.316 Å, 2θ 38.88, rel. 50.4
- d = 1.403 Å, 2θ 66.64, rel. 18.7

Cell and atoms:
```
BaLaGe4
1.0
8.1929 0.0000 0.0000
0.0000 17.6724 0.0000
0.0000 0.0000 4.6330
Ba La Ge
4 4 16
Cartesian
1.1013 2.8005 0.0000
2.9952 11.6367 0.0000
5.1977 6.0357 0.0000
7.0917 14.8719 0.0000
1.0925 7.2846 0.0000
3.0040 16.1208 0.0000
5.1890 1.5516 0.0000
7.1004 10.3878 0.0000
0.1200 12.2185 2.3165
0.9433 16.7673 2.3165
1.0773 9.5644 2.3165
1.6556 14.2445 2.3165
2.4408 5.4083 2.3165
3.0191 0.7282 2.3165
3.1532 7.9311 2.3165
3.9764 3.3823 2.3165
4.2165 14.2900 2.3165
5.0397 9.7413 2.3165
5.1738 16.9441 2.3165
5.7521 12.2641 2.3165
6.5373 3.4279 2.3165
7.1156 8.1079 2.3165
7.2497 0.9051 2.3165
8.0729 5.4539 2.3165
```